[1]
Diffraction record for BaNaPrWO6. The powder X-ray diffraction pattern is simulated, not measured: it uses a crystal structure in the Materials Project, relaxed with GGA+U and Cu Kα, 1.54184 Å.
Kinematic intensities with the Lorentz-polarization factor, no thermal factor.

Most intense lines, 2θ from 10° to 90°, most intense first:
2θ = 30.6°, intensity 100, (2 2 0); 2θ = 54.4°, intensity 40, (4 2 2); 2θ = 18.6°, intensity 31, (1 1 1); 2θ = 43.8°, intensity 30, (4 0 0); 2θ = 88.6°, intensity 22, (6 4 2); 2θ = 63.7°, intensity 19, (4 4 0); 2θ = 72.3°, intensity 18, (6 2 0); 2θ = 36.1°, intensity 15, (3 1 1); 2θ = 80.6°, intensity 6, (4 4 4); 2θ = 58.0°, intensity 6, (5 1 1)

Cell and atoms:
```
data_BaNaPrWO6
_symmetry_space_group_name_H-M 'F -4 3 m'
_symmetry_Int_Tables_number 216
_symmetry_space_group_name_Hall 'F -4 2 3'
_cell_length_a 8.2614
_cell_length_b 8.2614
_cell_length_c 8.2614
_cell_angle_alpha 90.00
_cell_angle_beta 90.00
_cell_angle_gamma 90.00
loop_
_atom_site_label
_atom_site_type_symbol
_atom_site_fract_x
_atom_site_fract_y
_atom_site_fract_z
_atom_site_occupancy
Ba1 Ba 0.0000 0.0000 0.0000 1
Na1 Na 0.2500 0.2500 0.2500 1
Pr1 Pr 0.0000 0.0000 0.5000 1
W1 W 0.2500 0.2500 0.7500 1
O1 O 0.0151 0.2500 0.7500 1
```


[2]
Diffraction record for Li9Mn2Co5O16. The powder X-ray diffraction pattern is simulated, not measured: it uses a crystal structure in the Materials Project, relaxed with GGA+U and Cu Kα, 1.54184 Å.
Kinematic intensities with the Lorentz-polarization factor, no thermal factor.

Most intense lines, 2θ from 10° to 90°, most intense first:
2θ = 18.2°, intensity 100, (0 1 -1); 2θ = 41.2°, intensity 33, (1 1 2); 2θ = 43.5°, intensity 27, (-1 2 3); 2θ = 45.0°, intensity 23, (0 1 -9); 2θ = 34.3°, intensity 18, (1 0 3); 2θ = 35.8°, intensity 13, (-1 1 4); 2θ = 36.8°, intensity 10, (0 0 8); 2θ = 63.7°, intensity 9, (1 -3 6); 2θ = 61.2°, intensity 8, (-2 1 1); 2θ = 64.8°, intensity 8, (-1 1 12)

Cell and atoms:
```
data_Li9Mn2Co5O16
_symmetry_space_group_name_H-M 'P 1'
_symmetry_Int_Tables_number 1
_cell_length_a 3.0322
_cell_length_b 5.1420
_cell_length_c 19.5734
_cell_angle_alpha 91.28
_cell_angle_beta 93.00
_cell_angle_gamma 104.59
loop_
_symmetry_equiv_pos_as_xyz
'x,y,z'
loop_
_atom_site_label
_atom_site_type_symbol
_atom_site_fract_x
_atom_site_fract_y
_atom_site_fract_z
_atom_site_occupancy
Li1 Li 0.0000 0.0000 0.0000 1
Li2 Li 0.0670 0.3063 0.8139 1
Li3 Li 0.1371 0.6173 0.6282 1
Li4 Li 0.2648 0.2498 0.2519 1
Li5 Li 0.3810 0.8771 0.8776 1
Li6 Li 0.5050 0.4951 0.5022 1
Li7 Li 0.6200 0.1132 0.1275 1
Li8 Li 0.7542 0.7370 0.7513 1
Li9 Li 0.8758 0.3669 0.3784 1
Mn1 Mn 0.3231 0.5568 0.0625 1
Mn2 Mn 0.5622 0.8070 0.3152 1
Co1 Co 0.1956 0.9317 0.4419 1
Co2 Co 0.4505 0.1871 0.6946 1
Co3 Co 0.6789 0.4282 0.9331 1
Co4 Co 0.8224 0.0579 0.5667 1
Co5 Co 0.9417 0.6820 0.1889 1
O1 O 0.0090 0.8275 0.0982 1
O2 O 0.0170 0.1793 0.9100 1
O3 O 0.1125 0.4361 0.7181 1
O4 O 0.1736 0.7900 0.5316 1
O5 O 0.2466 0.0740 0.3504 1
O6 O 0.3105 0.4193 0.1548 1
O7 O 0.3634 0.6921 0.9714 1
O8 O 0.4083 0.0309 0.7727 1
O9 O 0.4556 0.3134 0.6019 1
O10 O 0.5587 0.6699 0.4074 1
O11 O 0.5722 0.9437 0.2232 1
O12 O 0.6455 0.2980 0.0261 1
O13 O 0.7279 0.5839 0.8550 1
O14 O 0.7637 0.9225 0.6560 1
O15 O 0.8342 0.1967 0.4755 1
O16 O 0.8755 0.5386 0.2799 1
```


[3]
Diffraction record for Dy2WO6. The powder X-ray diffraction pattern is simulated, not measured: it uses a crystal structure in the Materials Project, relaxed with GGA+U and Cu Kα, 1.54184 Å.
Kinematic intensities with the Lorentz-polarization factor, no thermal factor.

Most intense lines, 2θ from 10° to 90°, most intense first:
2θ = 27.3°, intensity 100, (1 2 1); 2θ = 33.2°, intensity 67, (1 1 3); 2θ = 26.4°, intensity 63, (1 1 2); 2θ = 33.9°, intensity 34, (2 0 0); 2θ = 25.8°, intensity 33, (1 2 0); 2θ = 53.8°, intensity 30, (1 5 1); 2θ = 46.4°, intensity 28, (2 3 1); 2θ = 30.6°, intensity 26, (0 3 1); 2θ = 34.4°, intensity 26, (0 3 2); 2θ = 49.1°, intensity 21, (2 3 2)

Cell and atoms:
```
data_Dy2WO6
_symmetry_space_group_name_H-M 'P 21 21 21'
_symmetry_Int_Tables_number 19
_cell_length_a 5.2832
_cell_length_b 9.1505
_cell_length_c 10.0024
_cell_angle_alpha 90.00
_cell_angle_beta 90.00
_cell_angle_gamma 90.00
loop_
_symmetry_equiv_pos_as_xyz
'x,y,z'
'-x+1/2,-y,z+1/2'
'x+1/2,-y+1/2,-z'
'-x,y+1/2,-z+1/2'
loop_
_atom_site_label
_atom_site_type_symbol
_atom_site_fract_x
_atom_site_fract_y
_atom_site_fract_z
_atom_site_occupancy
Dy1 Dy 0.0195 0.1032 0.4653 1
Dy2 Dy 0.0381 0.2193 0.8716 1
W1 W 0.0394 0.4953 0.3478 1
O1 O 0.0856 0.8430 0.0303 1
O2 O 0.1758 0.9526 0.2982 1
O3 O 0.1805 0.6384 0.8190 1
O4 O 0.1931 0.6405 0.2355 1
O5 O 0.2315 0.1146 0.0672 1
O6 O 0.2488 0.5898 0.4939 1
```


[4]
Diffraction record for ZnCr2O6. The powder X-ray diffraction pattern is simulated, not measured: it uses a crystal structure in the Materials Project, relaxed with GGA+U and Cu Kα, 1.54184 Å.
Kinematic intensities with the Lorentz-polarization factor, no thermal factor.

Most intense lines, 2θ from 10° to 90°, most intense first:
2θ = 35.0°, intensity 100, (2 1 1); 2θ = 21.6°, intensity 56, (1 0 1); 2θ = 20.6°, intensity 34, (1 1 0); 2θ = 49.8°, intensity 33, (0 2 2); 2θ = 63.9°, intensity 27, (2 1 3); 2θ = 33.4°, intensity 25, (0 2 0); 2θ = 41.8°, intensity 24, (3 0 1); 2θ = 24.3°, intensity 21, (0 1 1); 2θ = 35.9°, intensity 18, (0 0 2); 2θ = 40.1°, intensity 17, (1 2 1)

Cell and atoms:
```
data_ZnCr2O6
_symmetry_space_group_name_H-M 'P m n 21'
_symmetry_Int_Tables_number 31
_cell_length_a 7.1937
_cell_length_b 5.3667
_cell_length_c 5.0072
_cell_angle_alpha 90.00
_cell_angle_beta 90.00
_cell_angle_gamma 90.00
loop_
_symmetry_equiv_pos_as_xyz
'x,y,z'
'-x+1/2,-y,z+1/2'
'-x,y,z'
'x+1/2,-y,z+1/2'
loop_
_atom_site_label
_atom_site_type_symbol
_atom_site_fract_x
_atom_site_fract_y
_atom_site_fract_z
_atom_site_occupancy
Zn1 Zn 0.0000 0.2101 0.0000 1
Cr1 Cr 0.2382 0.7380 0.9967 1
O1 O 0.0000 0.2610 0.6141 1
O2 O 0.0000 0.7544 0.8470 1
O3 O 0.1842 0.9879 0.2167 1
O4 O 0.1866 0.4582 0.1687 1
```


[5]
Diffraction record for PWC5Br3O5. The powder X-ray diffraction pattern is simulated, not measured: it uses a crystal structure in the Materials Project, relaxed with GGA+U and Cu Kα, 1.54184 Å.
Kinematic intensities with the Lorentz-polarization factor, no thermal factor.

Most intense lines, 2θ from 10° to 90°, most intense first:
2θ = 14.3°, intensity 100, (1 1 0); 2θ = 14.6°, intensity 80, (0 1 2); 2θ = 29.1°, intensity 74, (2 1 -2); 2θ = 26.7°, intensity 43, (0 4 1); 2θ = 20.4°, intensity 31, (0 3 1); 2θ = 30.6°, intensity 27, (1 1 4); 2θ = 18.7°, intensity 27, (1 0 2); 2θ = 29.9°, intensity 24, (1 0 4); 2θ = 17.9°, intensity 23, (1 0 -2); 2θ = 23.6°, intensity 22, (0 2 3)

Cell and atoms:
```
data_PWC5Br3O5
_symmetry_space_group_name_H-M 'P 1 21/c 1'
_symmetry_Int_Tables_number 14
_cell_length_a 6.9660
_cell_length_b 13.7698
_cell_length_c 13.5127
_cell_angle_alpha 90.00
_cell_angle_beta 92.56
_cell_angle_gamma 90.00
loop_
_symmetry_equiv_pos_as_xyz
'x,y,z'
'-x,-y,-z'
'-x,y+1/2,-z+1/2'
'x,-y+1/2,z+1/2'
loop_
_atom_site_label
_atom_site_type_symbol
_atom_site_fract_x
_atom_site_fract_y
_atom_site_fract_z
_atom_site_occupancy
P1 P 0.1876 0.1331 0.1650 1
W1 W 0.2119 0.1954 0.6054 1
C1 C 0.0521 0.6616 0.8351 1
C2 C 0.0735 0.2388 0.4722 1
C3 C 0.2383 0.0550 0.5550 1
C4 C 0.3448 0.1575 0.7418 1
C5 C 0.4741 0.2345 0.5475 1
Br1 Br 0.1003 0.5818 0.2882 1
Br2 Br 0.2630 0.0179 0.0578 1
Br3 Br 0.3792 0.0932 0.2970 1
O1 O 0.0007 0.7361 0.6022 1
O2 O 0.1979 0.6438 0.8010 1
O3 O 0.2542 0.5248 0.0274 1
O4 O 0.3819 0.7417 0.4852 1
O5 O 0.4129 0.1382 0.8193 1
```


[6]
Diffraction record for VO2F. The powder X-ray diffraction pattern is simulated, not measured: it uses a crystal structure in the Materials Project, relaxed with GGA+U and Cu Kα, 1.54184 Å.
Kinematic intensities with the Lorentz-polarization factor, no thermal factor.

Most intense lines, 2θ from 10° to 90°, most intense first:
2θ = 22.9°, intensity 100, (1 -1 0); 2θ = 24.2°, intensity 97, (1 1 -1); 2θ = 25.4°, intensity 88, (0 0 3); 2θ = 49.6°, intensity 24, (2 2 -2); 2θ = 46.8°, intensity 17, (2 -2 0); 2θ = 52.1°, intensity 15, (0 0 6); 2θ = 40.8°, intensity 14, (1 2 -3); 2θ = 33.9°, intensity 13, (-1 1 3); 2θ = 34.8°, intensity 13, (1 1 2); 2θ = 42.2°, intensity 12, (1 0 -5)

Cell and atoms:
```
data_VO2F
_symmetry_space_group_name_H-M 'P -1'
_symmetry_Int_Tables_number 2
_cell_length_a 5.2776
_cell_length_b 5.4233
_cell_length_c 11.0702
_cell_angle_alpha 101.06
_cell_angle_beta 103.22
_cell_angle_gamma 93.04
loop_
_symmetry_equiv_pos_as_xyz
'x,y,z'
'-x,-y,-z'
loop_
_atom_site_label
_atom_site_type_symbol
_atom_site_fract_x
_atom_site_fract_y
_atom_site_fract_z
_atom_site_occupancy
V1 V 0.0000 0.0000 0.0000 1
V2 V 0.1222 0.2045 0.3410 1
V3 V 0.3685 0.2900 0.6709 1
V4 V 0.5000 0.5000 0.0000 1
O1 O 0.0165 0.0780 0.1693 1
O2 O 0.1163 0.6286 0.6356 1
O3 O 0.2853 0.2370 0.0215 1
O4 O 0.3344 0.2589 0.4996 1
O5 O 0.3399 0.4244 0.8302 1
O6 O 0.4626 0.9443 0.3016 1
F1 F 0.0163 0.1153 0.6302 1
F2 F 0.2327 0.7297 0.0303 1
F3 F 0.3421 0.4528 0.2980 1
```


[7]
Diffraction record for Li2FeW2O8. The powder X-ray diffraction pattern is simulated, not measured: it uses a crystal structure in the Materials Project, relaxed with GGA+U and Cu Kα, 1.54184 Å.
Kinematic intensities with the Lorentz-polarization factor, no thermal factor.

Most intense lines, 2θ from 10° to 90°, most intense first:
2θ = 18.4°, intensity 100, (1 1 0); 2θ = 27.2°, intensity 56, (1 1 2); 2θ = 27.9°, intensity 53, (0 2 0); 2θ = 23.6°, intensity 48, (1 -1 0); 2θ = 19.5°, intensity 46, (1 0 -1); 2θ = 32.0°, intensity 46, (1 1 -2); 2θ = 32.1°, intensity 45, (2 0 0); 2θ = 23.0°, intensity 45, (0 0 2); 2θ = 28.4°, intensity 38, (1 2 1); 2θ = 15.8°, intensity 32, (0 1 1)

Cell and atoms:
```
data_Li2FeW2O8
_symmetry_space_group_name_H-M 'P -1'
_symmetry_Int_Tables_number 2
_cell_length_a 5.7505
_cell_length_b 6.7808
_cell_length_c 7.9360
_cell_angle_alpha 76.53
_cell_angle_beta 87.29
_cell_angle_gamma 75.81
loop_
_symmetry_equiv_pos_as_xyz
'x,y,z'
'-x,-y,-z'
loop_
_atom_site_label
_atom_site_type_symbol
_atom_site_fract_x
_atom_site_fract_y
_atom_site_fract_z
_atom_site_occupancy
Li1 Li 0.0602 0.3537 0.3981 1
Li2 Li 0.4395 0.1465 0.1015 1
Fe1 Fe 0.0000 0.5000 0.0000 1
Fe2 Fe 0.5000 0.0000 0.5000 1
W1 W 0.0244 0.9516 0.2084 1
W2 W 0.4757 0.5477 0.2917 1
O1 O 0.0314 0.2275 0.1948 1
O2 O 0.1383 0.6416 0.1943 1
O3 O 0.1488 0.1019 0.5965 1
O4 O 0.2207 0.9971 0.9608 1
O5 O 0.2790 0.5033 0.5392 1
O6 O 0.3533 0.3986 0.9041 1
O7 O 0.3613 0.8584 0.3065 1
O8 O 0.4681 0.2728 0.3042 1
```


[8]
Diffraction record for LiMn3Al2H6O12. The powder X-ray diffraction pattern is simulated, not measured: it uses a crystal structure in the Materials Project, relaxed with GGA+U and Cu Kα, 1.54184 Å.
Kinematic intensities with the Lorentz-polarization factor, no thermal factor.

Most intense lines, 2θ from 10° to 90°, most intense first:
2θ = 18.6°, intensity 100, (0 0 2); 2θ = 37.7°, intensity 36, (0 3 0); 2θ = 47.9°, intensity 32, (-2 1 3); 2θ = 37.7°, intensity 19, (-2 1 1); 2θ = 48.0°, intensity 16, (2 2 5); 2θ = 63.6°, intensity 12, (4 1 2); 2θ = 67.0°, intensity 9, (-2 4 3); 2θ = 63.7°, intensity 9, (-2 4 1); 2θ = 35.6°, intensity 8, (2 2 2); 2θ = 76.4°, intensity 8, (0 3 8)

Cell and atoms:
```
data_LiMn3Al2H6O12
_symmetry_space_group_name_H-M 'P -1'
_symmetry_Int_Tables_number 2
_cell_length_a 5.8524
_cell_length_b 7.7314
_cell_length_c 10.5335
_cell_angle_alpha 68.62
_cell_angle_beta 74.04
_cell_angle_gamma 79.02
loop_
_symmetry_equiv_pos_as_xyz
'x,y,z'
'-x,-y,-z'
loop_
_atom_site_label
_atom_site_type_symbol
_atom_site_fract_x
_atom_site_fract_y
_atom_site_fract_z
_atom_site_occupancy
Li1 Li 0.1576 0.3447 0.0005 1
Mn1 Mn 0.0832 0.6674 0.4988 1
Mn2 Mn 0.2500 0.0006 0.4993 1
Mn3 Mn 0.4165 0.3325 0.5024 1
Al1 Al 0.0000 0.0000 0.0000 1
Al2 Al 0.3315 0.6605 0.9981 1
Al3 Al 0.5000 0.0000 0.0000 1
H1 H 0.0103 0.3046 0.7951 1
H2 H 0.1421 0.0086 0.2043 1
H3 H 0.2137 0.6574 0.7895 1
H4 H 0.3194 0.3587 0.2099 1
H5 H 0.3596 0.9852 0.7872 1
H6 H 0.4613 0.6923 0.2000 1
O1 O 0.0305 0.7417 0.1019 1
O2 O 0.0666 0.9353 0.3962 1
O3 O 0.0986 0.3996 0.6033 1
O4 O 0.1667 0.6182 0.8921 1
O5 O 0.1867 0.0511 0.1011 1
O6 O 0.2347 0.2684 0.3996 1
O7 O 0.2679 0.7335 0.5980 1
O8 O 0.3208 0.9426 0.8916 1
O9 O 0.3621 0.4060 0.1065 1
O10 O 0.4004 0.5997 0.3965 1
O11 O 0.4317 0.0631 0.6051 1
O12 O 0.5005 0.2576 0.9030 1
```


Q: Which formula does entry 7 have?
A: Li2FeW2O8